(1)
This entry pairs a crystal structure of ZrCdHg3 with its simulated X-ray diffraction stick pattern. Radiation: Cu Kα. Structure: a structure optimized by DFT (GGA-PBE).

Cell and atoms:
a = 3.4656 Å, b = 6.5531 Å, c = 10.5205 Å
α = 98.67°, β = 90.25°, γ = 105.10°
Fractional positions:
Zr: 0.1478 0.2962 0.4474
Zr: 0.8522 0.7038 0.5526
Cd: 0.3450 0.6873 0.0497
Cd: 0.6550 0.3127 0.9503
Hg: 0.0425 0.0836 0.1489
Hg: 0.2582 0.5101 0.7454
Hg: 0.4439 0.8905 0.3533
Hg: 0.5561 0.1095 0.6467
Hg: 0.7418 0.4899 0.2546
Hg: 0.9575 0.9164 0.8511

Principal peaks in the range 2θ = 10–90°, by angle:
- d = 2.652 Å, I = 100
- d = 2.639 Å, I = 99
- d = 2.544 Å, I = 89
- d = 2.509 Å, I = 86
- d = 2.358 Å, I = 73
- d = 2.352 Å, I = 73
- d = 2.048 Å, I = 46
- d = 1.733 Å, I = 29
- d = 1.605 Å, I = 24
- d = 1.557 Å, I = 19
- d = 1.426 Å, I = 30
- d = 1.366 Å, I = 25

(2)
This entry pairs a crystal structure of Zr3CdHg with its simulated X-ray diffraction stick pattern. Radiation: Cu Kα. Structure: a structure optimized by DFT (GGA-PBE).

Cell and atoms:
a = 6.1617 Å, b = 6.1617 Å, c = 6.1617 Å
α = 86.31°, β = 86.31°, γ = 86.31°
Fractional positions:
Zr: 0.0637 0.7475 0.4363
Zr: 0.2525 0.5637 0.9363
Zr: 0.4363 0.0637 0.7475
Zr: 0.5637 0.9363 0.2525
Zr: 0.7475 0.4363 0.0637
Zr: 0.9363 0.2525 0.5637
Cd: 0.1188 0.1188 0.1188
Cd: 0.8812 0.8812 0.8812
Hg: 0.3778 0.3778 0.3778
Hg: 0.6222 0.6222 0.6222

Principal peaks in the range 2θ = 10–90°, by angle:
- d = 4.214 Å, I = 37
- d = 2.814 Å, I = 54
- d = 2.643 Å, I = 32
- d = 2.433 Å, I = 100
- d = 2.239 Å, I = 28
- d = 1.977 Å, I = 34
- d = 1.840 Å, I = 14
- d = 1.647 Å, I = 13
- d = 1.493 Å, I = 12
- d = 1.468 Å, I = 12
- d = 1.442 Å, I = 16
- d = 1.405 Å, I = 16

(3)
This entry pairs a crystal structure of Ho2Cd13 with its simulated X-ray diffraction stick pattern. Radiation: Cu Kα. Structure: a structure optimized by DFT (GGA-PBE).

Cell and atoms:
a = 8.3074 Å, b = 8.3074 Å, c = 8.3074 Å
α = 56.66°, β = 56.66°, γ = 56.66°
Fractional positions:
Ho: 0.1548 0.1548 0.1548
Ho: 0.8452 0.8452 0.8452
Cd: 0.0000 0.0000 0.0000
Cd: 0.1510 0.1510 0.5394
Cd: 0.1510 0.5394 0.1510
Cd: 0.3117 0.3117 0.6788
Cd: 0.3117 0.6788 0.3117
Cd: 0.3212 0.6883 0.6883
Cd: 0.4606 0.8490 0.8490
Cd: 0.5394 0.1510 0.1510
Cd: 0.6788 0.3117 0.3117
Cd: 0.6883 0.3212 0.6883
Cd: 0.6883 0.6883 0.3212
Cd: 0.8490 0.4606 0.8490
Cd: 0.8490 0.8490 0.4606

Principal peaks in the range 2θ = 10–90°, by angle:
- d = 3.245 Å, I = 17
- d = 2.730 Å, I = 61
- d = 2.642 Å, I = 47
- d = 2.607 Å, I = 28
- d = 2.561 Å, I = 100
- d = 2.505 Å, I = 14
- d = 2.071 Å, I = 21
- d = 1.971 Å, I = 20
- d = 1.904 Å, I = 53
- d = 1.451 Å, I = 17
- d = 1.386 Å, I = 30
- d = 1.381 Å, I = 14

(4)
This entry pairs a crystal structure of Ho3Cd8 with its simulated X-ray diffraction stick pattern. Radiation: Cu Kα. Structure: a structure optimized by DFT (GGA-PBE).

Cell and atoms:
a = 12.6721 Å, b = 12.6721 Å, c = 12.6721 Å
α = 22.51°, β = 22.51°, γ = 22.51°
Fractional positions:
Ho: 0.0000 0.0000 0.0000
Ho: 0.4526 0.4526 0.4526
Ho: 0.5474 0.5474 0.5474
Cd: 0.0836 0.0836 0.0836
Cd: 0.1634 0.1634 0.1634
Cd: 0.2774 0.2774 0.2774
Cd: 0.3658 0.3658 0.3658
Cd: 0.6342 0.6342 0.6342
Cd: 0.7226 0.7226 0.7226
Cd: 0.8366 0.8366 0.8366
Cd: 0.9164 0.9164 0.9164

Principal peaks in the range 2θ = 10–90°, by angle:
- d = 4.174 Å, I = 7
- d = 3.330 Å, I = 8
- d = 2.647 Å, I = 88
- d = 2.473 Å, I = 100
- d = 2.372 Å, I = 16
- d = 1.807 Å, I = 28
- d = 1.567 Å, I = 8
- d = 1.459 Å, I = 27
- d = 1.428 Å, I = 17
- d = 1.309 Å, I = 7
- d = 1.237 Å, I = 11
- d = 1.120 Å, I = 12

(5)
This entry pairs a crystal structure of Ho2Cd7 with its simulated X-ray diffraction stick pattern. Radiation: Cu Kα. Structure: a structure optimized by DFT (GGA-PBE).

Cell and atoms:
a = 5.0464 Å, b = 5.0464 Å, c = 9.4642 Å
α = 90.00°, β = 90.00°, γ = 120.00°
Fractional positions:
Ho: 0.3333 0.6667 0.2836
Ho: 0.6667 0.3333 0.7164
Cd: 0.0000 0.0000 0.1599
Cd: 0.0000 0.0000 0.5000
Cd: 0.0000 0.0000 0.8401
Cd: 0.3333 0.6667 0.6084
Cd: 0.3333 0.6667 0.9338
Cd: 0.6667 0.3333 0.0662
Cd: 0.6667 0.3333 0.3916

Principal peaks in the range 2θ = 10–90°, by angle:
- d = 3.968 Å, I = 3
- d = 3.211 Å, I = 3
- d = 2.558 Å, I = 100
- d = 2.523 Å, I = 97
- d = 1.796 Å, I = 34
- d = 1.484 Å, I = 17
- d = 1.463 Å, I = 34
- d = 1.457 Å, I = 17
- d = 1.279 Å, I = 10
- d = 1.262 Å, I = 10
- d = 1.141 Å, I = 14
- d = 1.131 Å, I = 15

(6)
This entry pairs a crystal structure of Ho3Cd with its simulated X-ray diffraction stick pattern. Radiation: Cu Kα. Structure: a structure optimized by DFT (GGA-PBE).

Cell and atoms:
a = 5.9293 Å, b = 5.9293 Å, c = 5.9293 Å
α = 132.35°, β = 132.35°, γ = 69.68°
Fractional positions:
Ho: 0.0000 0.0000 0.0000
Ho: 0.2500 0.7500 0.5000
Ho: 0.7500 0.2500 0.5000
Cd: 0.5000 0.5000 0.0000

Principal peaks in the range 2θ = 10–90°, by angle:
- d = 2.780 Å, I = 100
- d = 2.433 Å, I = 17
- d = 2.395 Å, I = 33
- d = 1.707 Å, I = 23
- d = 1.694 Å, I = 11
- d = 1.463 Å, I = 14
- d = 1.446 Å, I = 27
- d = 1.390 Å, I = 12
- d = 1.217 Å, I = 2
- d = 1.198 Å, I = 4
- d = 1.107 Å, I = 12
- d = 1.100 Å, I = 6